# 1
Starting from a crystal structure in Alexandria, relaxed with PBE, the powder diffraction line list of Sr3UPa3As8 was computed for λ = 1.5418 Å (Cu Kα).
No peak broadening, texture or thermal motion is included.

Largest 10 diffraction maxima, in order of falling intensity, 5° ≤ 2θ ≤ 70°:
2θ/deg, I_rel, (hkl)
29.55, 100, 0 2 4
12.35, 48, 0 0 3
42.83, 38, 2 2 0
41.72, 36, 2 0 8
52.89, 20, 4 0 4
24.70, 17, 0 2 1
38.27, 15, 0 2 7
68.72, 14, 2 2 12
25.73, 14, 2 0 2
44.75, 13, 2 2 3

Structure:
```
data_Sr3UPa3As8
_cell_length_a 8.4452
_cell_length_b 8.4452
_cell_length_c 21.4944
_cell_angle_alpha 90.00
_cell_angle_beta 90.00
_cell_angle_gamma 120.00
_space_group_name_H-M_alt 'R -3 m'
_space_group_IT_number 166
_space_group_name_Hall '-R 3 2"'
loop_
_atom_site_label
_atom_site_type_symbol
_atom_site_fract_x
_atom_site_fract_y
_atom_site_fract_z
Sr1 Sr 0.0000 0.5000 0.0000
U1 U 0.0000 0.0000 0.5000
Pa1 Pa 0.0000 0.5000 0.5000
As1 As 0.0000 0.0000 0.2403
As2 As 0.0032 0.5016 0.7632
```

# 2
Starting from a crystal structure in Alexandria, relaxed with PBE, the powder diffraction line list of GePdRuN2 was computed for λ = 1.5418 Å (Cu Kα).
No peak broadening, texture or thermal motion is included.

Largest 10 diffraction maxima, in order of falling intensity, 5° ≤ 2θ ≤ 70°:
2θ/deg, I_rel, (hkl)
33.58, 100, 1 1 0
31.94, 84, 0 0 2
47.03, 79, 1 1 2
23.57, 70, 1 0 0
59.02, 54, 2 0 2
48.23, 51, 2 0 0
40.08, 34, 1 0 2
37.32, 26, 1 1 1
28.52, 23, 1 0 1
64.45, 16, 2 1 2

Structure:
```
data_GePdRuN2
_cell_length_a 3.7739
_cell_length_b 3.7739
_cell_length_c 5.6033
_cell_angle_alpha 90.00
_cell_angle_beta 90.00
_cell_angle_gamma 90.00
_space_group_name_H-M_alt 'P 4/m m m'
_space_group_IT_number 123
_space_group_name_Hall '-P 4 2'
loop_
_atom_site_label
_atom_site_type_symbol
_atom_site_fract_x
_atom_site_fract_y
_atom_site_fract_z
Ge1 Ge 0.0000 0.0000 0.0000
Pd1 Pd 0.5000 0.5000 0.0000
Ru1 Ru 0.5000 0.5000 0.5000
N1 N 0.0000 0.5000 0.5000
```

# 3
Starting from a crystal structure in Alexandria, relaxed with PBE, the powder diffraction line list of BaCuAgSe2 was computed for λ = 1.5418 Å (Cu Kα).
No peak broadening, texture or thermal motion is included.

Largest 10 diffraction maxima, in order of falling intensity, 5° ≤ 2θ ≤ 70°:
2θ/deg, I_rel, (hkl)
28.40, 100, 1 3 1
33.31, 79, 0 2 2
38.23, 51, 1 5 1
35.63, 33, 2 2 1
43.07, 31, 2 0 2
51.41, 29, 0 8 0
29.36, 25, 2 0 0
32.00, 21, 2 2 0
51.48, 19, 3 3 1
42.09, 18, 2 4 1

Structure:
```
data_BaCuAgSe2
_cell_length_a 6.0844
_cell_length_b 14.2100
_cell_length_c 5.8070
_cell_angle_alpha 90.00
_cell_angle_beta 90.00
_cell_angle_gamma 90.00
_space_group_name_H-M_alt 'C m m e'
_space_group_IT_number 67
_space_group_name_Hall '-C 2a 2'
loop_
_atom_site_label
_atom_site_type_symbol
_atom_site_fract_x
_atom_site_fract_y
_atom_site_fract_z
Ba1 Ba 0.0000 0.2500 0.2461
Cu1 Cu 0.0000 0.0000 0.5000
Ag1 Ag 0.2500 0.0000 0.0000
Se1 Se 0.0000 0.1278 0.7440
```

# 4
Starting from a crystal structure in Alexandria, relaxed with PBE, the powder diffraction line list of Ba3SmEr3Te8 was computed for λ = 1.5418 Å (Cu Kα).
No peak broadening, texture or thermal motion is included.

Largest 10 diffraction maxima, in order of falling intensity, 5° ≤ 2θ ≤ 70°:
2θ/deg, I_rel, (hkl)
27.39, 100, 0 2 4
38.02, 37, 2 0 8
40.19, 37, 2 2 0
49.32, 20, 4 0 4
65.44, 16, 2 4 4
62.38, 14, 2 2 12
11.12, 14, 0 0 3
56.51, 12, 0 4 8
35.00, 7, 0 2 7
45.59, 6, 0 0 12

Structure:
```
data_Ba3SmEr3Te8
_cell_length_a 8.9745
_cell_length_b 8.9745
_cell_length_c 23.8762
_cell_angle_alpha 90.00
_cell_angle_beta 90.00
_cell_angle_gamma 120.00
_space_group_name_H-M_alt 'R -3 m'
_space_group_IT_number 166
_space_group_name_Hall '-R 3 2"'
loop_
_atom_site_label
_atom_site_type_symbol
_atom_site_fract_x
_atom_site_fract_y
_atom_site_fract_z
Ba1 Ba 0.0000 0.5000 0.0000
Sm1 Sm 0.0000 0.0000 0.5000
Er1 Er 0.0000 0.5000 0.5000
Te1 Te 0.0000 0.0000 0.2378
Te2 Te 0.0114 0.5057 0.7608
```

# 5
Starting from a crystal structure in Alexandria, relaxed with PBE, the powder diffraction line list of La6Tb12Pm was computed for λ = 1.5418 Å (Cu Kα).
No peak broadening, texture or thermal motion is included.

Largest 10 diffraction maxima, in order of falling intensity, 5° ≤ 2θ ≤ 70°:
2θ/deg, I_rel, (hkl)
31.51, 100, 4 0 1
31.18, 64, 0 3 3
31.03, 56, 3 1 2
29.01, 49, 1 0 4
33.84, 42, 0 4 2
56.01, 28, 4 3 4
28.50, 26, 1 3 1
54.59, 26, 4 4 0
33.98, 24, 2 2 3
34.29, 23, 3 2 1

Structure:
```
data_La6Tb12Pm
_cell_length_a 13.4489
_cell_length_b 13.4489
_cell_length_c 12.7667
_cell_angle_alpha 90.00
_cell_angle_beta 90.00
_cell_angle_gamma 120.00
_space_group_name_H-M_alt 'R -3 m'
_space_group_IT_number 166
_space_group_name_Hall '-R 3 2"'
loop_
_atom_site_label
_atom_site_type_symbol
_atom_site_fract_x
_atom_site_fract_y
_atom_site_fract_z
La1 La 0.0393 0.5196 0.1149
Tb1 Tb 0.0000 0.2546 0.0000
Tb2 Tb 0.0917 0.1835 0.7638
Pm1 Pm 0.0000 0.0000 0.5000
```

# 6
Starting from a crystal structure in Alexandria, relaxed with PBE, the powder diffraction line list of Co3GeSb5 was computed for λ = 1.5418 Å (Cu Kα).
No peak broadening, texture or thermal motion is included.

Largest 10 diffraction maxima, in order of falling intensity, 5° ≤ 2θ ≤ 70°:
2θ/deg, I_rel, (hkl)
34.73, 100, 1 1 -3
32.28, 43, 1 0 6
32.11, 43, 1 0 -6
31.69, 40, 1 1 0
51.18, 37, 0 1 9
44.88, 24, 2 1 3
66.43, 22, 1 2 6
44.76, 21, 2 1 -3
56.38, 16, 0 2 0
30.76, 13, 0 1 3

Structure:
```
data_Co3GeSb5
_cell_length_a 5.6294
_cell_length_b 3.2639
_cell_length_c 19.1852
_cell_angle_alpha 90.00
_cell_angle_beta 90.33
_cell_angle_gamma 90.00
_space_group_name_H-M_alt 'P 1 2/m 1'
_space_group_IT_number 10
loop_
_space_group_symop_operation_xyz
'x,y,z'
'-x,-y,-z'
'-x,y,-z'
'x,-y,z'
loop_
_atom_site_label
_atom_site_type_symbol
_atom_site_fract_x
_atom_site_fract_y
_atom_site_fract_z
Co1 Co 0.0000 0.0000 0.0000
Co2 Co 0.0066 0.0000 0.6702
Co3 Co 0.4911 0.5000 0.8323
Co4 Co 0.5000 0.5000 0.5000
Ge1 Ge 0.2035 0.0000 0.7843
Sb1 Sb 0.1860 0.0000 0.1228
Sb2 Sb 0.1935 0.0000 0.4507
Sb3 Sb 0.2977 0.5000 0.2825
Sb4 Sb 0.3031 0.5000 0.9507
Sb5 Sb 0.3072 0.5000 0.6208
```